For Na3Fe4P4, a cell relaxed with PBE gives the simulated powder XRD pattern in this record (a wavelength of 1.5418 Å).

```
Na3Fe4P4
1.0
-3.4536 3.4536 3.4536
3.4536 -3.4536 3.4536
3.4536 3.4536 -3.4536
Na Fe P
3 4 4
direct
0.0000 0.5000 0.5000 Na
0.5000 0.0000 0.5000 Na
0.5000 0.5000 0.0000 Na
0.0000 0.0000 0.7332 Fe
0.0000 0.7332 0.0000 Fe
0.2668 0.2668 0.2668 Fe
0.7332 0.0000 0.0000 Fe
0.0000 0.0000 0.3661 P
0.0000 0.3661 0.0000 P
0.3661 0.0000 0.0000 P
0.6339 0.6339 0.6339 P
```

Top 10 peaks for 2θ from 5° to 70°, in order of rising 2θ:
- 2θ = 18.16°, 4.884 Å, I 100
- 2θ = 31.73°, 2.820 Å, I 24
- 2θ = 36.80°, 2.442 Å, I 25
- 2θ = 41.34°, 2.184 Å, I 85
- 2θ = 45.49°, 1.994 Å, I 18
- 2θ = 49.37°, 1.846 Å, I 41
- 2θ = 56.53°, 1.628 Å, I 40
- 2θ = 59.89°, 1.544 Å, I 7
- 2θ = 63.14°, 1.473 Å, I 10
- 2θ = 69.38°, 1.355 Å, I 13